Simulated XRD peak list of Na4B7C for Cu Kα, from a PBE-relaxed structure.
Intensities are scaled so that the largest is 100.

The 10 most intense peaks (15° ≤ 2θ ≤ 90°), low angle first:
two_theta	d [Å]	I/Imax
34.65	2.589	22
40.60	2.222	100
41.03	2.200	54
41.72	2.165	37
55.32	1.661	12
61.78	1.502	9
62.73	1.481	18
75.40	1.261	12
76.87	1.240	13
78.19	1.222	17

Crystal structure
```
Na4B7C
1.0
8.6595 -3.0033 0.0000
8.6595 3.0033 0.0000
0.0000 0.0000 5.1080
Na B C
8 14 2
direct
0.9999 0.2507 0.9997 Na
0.0001 0.7493 0.4997 Na
0.2491 0.4984 0.0000 Na
0.2507 0.9999 0.4997 Na
0.4984 0.2491 0.5000 Na
0.5016 0.7509 0.0000 Na
0.7493 0.0001 0.9997 Na
0.7509 0.5016 0.5000 Na
0.1150 0.8850 0.8363 B
0.1247 0.3742 0.3328 B
0.1248 0.3743 0.6669 B
0.3589 0.6411 0.3034 B
0.3743 0.1248 0.1669 B
0.3742 0.1247 0.8328 B
0.3778 0.6222 0.6835 B
0.6222 0.3778 0.1835 B
0.6258 0.8753 0.3328 B
0.6257 0.8752 0.6669 B
0.6411 0.3589 0.8034 B
0.8752 0.6257 0.1669 B
0.8753 0.6258 0.8328 B
0.8850 0.1150 0.3363 B
0.1179 0.8821 0.1767 C
0.8821 0.1179 0.6767 C
```